Structure and calculated powder diffraction line list of Pm5Pr2Hg (a crystal structure in Alexandria, relaxed with PBE; λ = 1.5418 Å (Cu Kα)).
Neutral-atom scattering factors, no anomalous dispersion.

Structural model:
```
Pm5Pr2Hg
1.0
7.5658 0.0000 0.0000
0.0000 7.5658 0.0000
0.0000 0.0000 5.6195
Pm Pr Hg
5 2 1
direct
0.0000 0.0000 0.0000
0.2747 0.2747 0.5000
0.2747 0.7253 0.5000
0.7253 0.2747 0.5000
0.7253 0.7253 0.5000
0.0000 0.5000 0.0000
0.5000 0.0000 0.0000
0.0000 0.0000 0.5000
```

Main lines, in order of rising 2θ (2θ from 10° to 90°):
two_theta  I_rel  h k l
11.70  39  1 0 0
15.77  20  0 0 1
22.95  33  1 1 1
26.34  36  2 1 0
28.44  100  2 0 1
31.85  44  0 0 2
33.50  70  2 2 0
41.79  21  2 1 2
46.90  55  2 2 2
48.11  23  4 0 0
56.84  21  4 2 1
58.86  26  4 0 2


Structure and calculated powder diffraction line list of PmPrHg5 (a crystal structure in Alexandria, relaxed with PBE; λ = 1.5418 Å (Cu Kα)).
Neutral-atom scattering factors, no anomalous dispersion.

Structural model:
```
PmPrHg5
1.0
4.7789 0.0000 0.0000
0.0000 4.7789 0.0000
0.0000 0.0000 8.5911
Pm Pr Hg
1 1 5
direct
0.0000 0.0000 0.0000
0.5000 0.5000 0.5000
0.0000 0.5000 0.2550
0.0000 0.5000 0.7450
0.5000 0.0000 0.2550
0.5000 0.0000 0.7450
0.5000 0.5000 0.0000
```

Main lines, in order of rising 2θ (2θ from 10° to 90°):
two_theta  I_rel  h k l
10.30  7  0 0 1
18.57  5  1 0 0
26.38  5  1 1 0
28.38  5  1 1 1
33.75  100  1 1 2
37.64  37  2 0 0
42.07  14  0 0 4
54.29  13  2 2 0
57.71  22  2 0 4
65.47  30  3 1 2
70.98  12  2 2 4
71.57  11  1 1 6